The following is a computed powder diffraction line list of Er4OsBr4. It was derived from the PBE geometry in the Materials Project, using copper Kα.
Lines closer than 0.1° are merged.

Lattice parameters (Å, degrees): 12.542 12.403 6.532 90.00 90.72 90.00
Space group C2/c (No. 15)
One atom of each set of equivalent atoms:
Er 0.075 0.174 0.490 x8
Er 0.173 0.076 0.009 x8
Os 0.000 0.005 0.750 x4
Br 0.119 0.303 0.097 x8
Br 0.194 0.388 0.599 x8

The 8 most intense peaks (2θ = 10–80°), in order of rising 2θ:
d (Å)  2theta  I_rel
8.819  10.03  100
3.266  27.31  13
2.884  31.01  9
2.635  34.02  10
2.582  34.74  20
2.562  35.02  35
2.552  35.16  14
2.506  35.84  19

=====

The following is a computed powder diffraction line list of K2MgH8S2O12. It was derived from the PBE geometry in the Materials Project, using copper Kα.
Lines closer than 0.1° are merged.

Lattice parameters (Å, degrees): 11.850 10.948 9.805 90.00 96.42 90.00
Space group C2 (No. 5)
One atom of each set of equivalent atoms:
K 0.175 0.000 0.206 x4
K 0.180 0.429 0.204 x4
Mg 0.000 0.204 0.500 x2
Mg 0.000 0.705 0.500 x2
H 0.045 0.946 0.566 x4
H 0.058 0.460 0.549 x4
H 0.065 0.704 0.244 x4
H 0.068 0.688 0.781 x4
H 0.081 0.931 0.869 x4
H 0.085 0.481 0.868 x4
H 0.087 0.337 0.869 x4
H 0.092 0.073 0.870 x4
S 0.201 0.211 0.492 x4
S 0.212 0.710 0.024 x4
O 0.000 0.513 0.500 x2
O 0.000 0.894 0.500 x2
O 0.006 0.714 0.710 x4
O 0.051 0.408 0.821 x4
O 0.055 0.004 0.816 x4
O 0.134 0.221 0.351 x4
O 0.153 0.099 0.553 x4
O 0.158 0.627 0.911 x4
O 0.161 0.317 0.572 x4
O 0.162 0.199 0.972 x4
O 0.175 0.672 0.158 x4
O 0.177 0.706 0.513 x4
O 0.178 0.838 0.991 x4

The 8 most intense peaks (2θ = 10–80°), in order of rising 2θ:
d (Å)  2theta  I_rel
5.888  15.05  31
5.474  16.19  29
4.807  18.46  33
3.639  24.46  100
3.582  24.86  27
3.218  27.72  40
2.792  32.06  44
2.737  32.72  31

=====

The following is a computed powder diffraction line list of Y6CrGe2S14. It was derived from the PBE geometry in the Materials Project, using copper Kα.
Lines closer than 0.1° are merged.

Lattice parameters (Å, degrees): 5.792 9.830 9.879 60.38 89.73 89.83
Space group P1 (No. 1)
One atom of each set of equivalent atoms:
Y 0.000 0.000 0.000 x1
Y 0.001 0.515 0.904 x1
Y 0.497 0.646 0.131 x1
Y 0.499 0.743 0.546 x1
Y 0.502 0.226 0.642 x1
Y 0.998 0.101 0.412 x1
Cr 0.785 0.873 0.768 x1
Ge 0.423 0.204 0.106 x1
Ge 0.917 0.540 0.438 x1
S 0.016 0.116 0.683 x1
S 0.020 0.783 0.617 x1
S 0.033 0.712 0.027 x1
S 0.259 0.969 0.255 x1
S 0.260 0.359 0.186 x1
S 0.263 0.289 0.871 x1
S 0.297 0.537 0.441 x1
S 0.540 0.030 0.519 x1
S 0.552 0.963 0.923 x1
S 0.554 0.632 0.864 x1
S 0.754 0.388 0.354 x1
S 0.754 0.775 0.290 x1
S 0.755 0.454 0.673 x1
S 0.803 0.207 0.104 x1

The 8 most intense peaks (2θ = 10–80°), in order of rising 2θ:
d (Å)  2theta  I_rel
4.266  20.82  35
3.763  23.64  35
3.448  25.84  60
3.438  25.91  100
2.478  36.26  34
2.470  36.38  36
2.457  36.57  34
2.397  37.52  46

=====

The following is a computed powder diffraction line list of LiGaO10. It was derived from the PBE geometry in the Materials Project, using copper Kα.
Lines closer than 0.1° are merged.

Lattice parameters (Å, degrees): 9.844 5.965 23.618 90.00 94.36 90.00
Space group Cc (No. 9)
One atom of each set of equivalent atoms:
Li 0.000 0.006 0.000 x4
Li 0.425 0.458 0.238 x4
Ga 0.069 0.490 0.916 x4
Ga 0.160 0.441 0.663 x4
O 0.016 0.352 0.764 x4
O 0.019 0.346 0.986 x4
O 0.025 0.317 0.167 x4
O 0.052 0.209 0.216 x4
O 0.064 0.160 0.641 x4
O 0.069 0.251 0.385 x4
O 0.069 0.497 0.033 x4
O 0.087 0.299 0.515 x4
O 0.133 0.431 0.781 x4
O 0.239 0.394 0.738 x4
O 0.257 0.036 0.286 x4
O 0.260 0.038 0.057 x4
O 0.263 0.364 0.923 x4
O 0.272 0.030 0.835 x4
O 0.296 0.049 0.603 x4
O 0.315 0.394 0.975 x4
O 0.333 0.400 0.158 x4
O 0.435 0.366 0.113 x4
O 0.436 0.405 0.345 x4
O 0.466 0.306 0.392 x4

The 8 most intense peaks (2θ = 10–80°), in order of rising 2θ:
d (Å)  2theta  I_rel
5.887  15.05  53
5.098  17.40  100
4.908  18.07  42
3.928  22.64  67
3.781  23.53  55
2.869  31.17  49
2.614  34.31  28
2.507  35.82  31

=====

The following is a computed powder diffraction line list of Ti2Si6W. It was derived from the PBE geometry in the Materials Project, using copper Kα.
Lines closer than 0.1° are merged.

Lattice parameters (Å, degrees): 4.719 8.176 6.520 90.00 90.00 90.00
Space group C222 (No. 21)
One atom of each set of equivalent atoms:
Ti 0.250 0.250 0.168 x4
Si 0.000 0.335 0.500 x4
Si 0.236 0.419 0.834 x8
W 0.000 0.000 0.500 x2

The 8 most intense peaks (2θ = 10–80°), in order of rising 2θ:
d (Å)  2theta  I_rel
6.520  13.58  42
4.088  21.74  45
3.463  25.72  90
2.549  35.21  41
2.360  38.13  23
2.219  40.66  100
2.173  41.55  32
1.912  47.57  63

=====

The following is a computed powder diffraction line list of Ce4Y11S22. It was derived from the PBE geometry in the Materials Project, using copper Kα.
Lines closer than 0.1° are merged.

Lattice parameters (Å, degrees): 39.260 3.959 11.408 90.00 91.61 90.00
Space group C2/m (No. 12)
One atom of each set of equivalent atoms:
Ce 0.104 0.000 0.011 x4
Ce 0.133 0.500 0.652 x4
Y 0.000 0.000 0.000 x2
Y 0.038 0.500 0.730 x4
Y 0.070 0.000 0.361 x4
Y 0.158 0.500 0.301 x4
Y 0.202 0.000 0.941 x4
Y 0.237 0.500 0.649 x4
S 0.008 0.000 0.240 x4
S 0.047 0.500 0.969 x4
S 0.055 0.500 0.507 x4
S 0.088 0.000 0.752 x4
S 0.093 0.500 0.211 x4
S 0.135 0.000 0.454 x4
S 0.149 0.500 0.908 x4
S 0.169 0.000 0.151 x4
S 0.189 0.000 0.690 x4
S 0.220 0.500 0.411 x4
S 0.245 0.500 0.881 x4

The 8 most intense peaks (2θ = 10–80°), in order of rising 2θ:
d (Å)  2theta  I_rel
3.801  23.41  84
3.726  23.88  44
3.679  24.19  100
2.852  31.37  100
2.650  33.82  80
2.153  41.96  64
2.063  43.88  47
1.979  45.84  57

=====

The following is a computed powder diffraction line list of Na3TeP2O14. It was derived from the PBE geometry in the Materials Project, using copper Kα.
Lines closer than 0.1° are merged.

Lattice parameters (Å, degrees): 8.1664 8.1664 10.8590 90.00 90.00 120.00
Space group P6_322 (No. 182)
One atom of each set of equivalent atoms:
Na 0.0514 0.5257 0.2500 x6
Te 0.0000 0.0000 0.2500 x2
P 0.3333 0.6667 0.5209 x4
O 0.0182 0.2223 0.1691 x12
O 0.1476 0.5048 0.5785 x12
O 0.3333 0.6667 0.1186 x4

The 8 most intense peaks (2θ = 10–80°), in order of rising 2θ:
d (Å)  2theta  I_rel
7.072  12.52  18
5.430  16.33  14
4.307  20.62  100
4.083  21.77  55
3.536  25.18  16
2.963  30.16  46
2.398  37.50  18
2.152  41.98  24